No. 1
This entry pairs a crystal structure of LaPrHoTm with its calculated powder X-ray diffraction pattern. Radiation: Cu Kα (weighted mean of Kα1 and Kα2). Structure: a cell relaxed with PBE.

Atomic structure:
Cell: 12.491 5.910 3.843 Å, 90.00 107.22 90.00°
Space group Cm (No. 8)
Unique sites:
La  0.000  0.000  0.000 [2 per cell]
Pr  0.231  0.500  0.165 [2 per cell]
Ho  0.253  0.000  0.704 [2 per cell]
Tm  0.487  0.000  0.458 [2 per cell]

Principal peaks in the range 10 to 90 degrees two-theta, in order of rising 2θ:
two_theta, I_rel, index
29.96, 56, 4 0 0
30.24, 58, 0 2 0
31.42, 99, 1 1 1
31.70, 100, 3 1 -1
43.09, 42, 4 2 0
53.94, 19, 5 1 1
54.47, 41, 1 3 1
54.65, 22, 3 3 -1



No. 2
This entry pairs a crystal structure of LaPr2Y4Ho2 with its calculated powder X-ray diffraction pattern. Radiation: Cu Kα (weighted mean of Kα1 and Kα2). Structure: a cell relaxed with PBE.

Atomic structure:
Cell: 6.063 6.698 8.829 Å, 82.77 69.95 64.56°
Space group P-1 (No. 2)
Unique sites:
La  0.000  0.000  0.000 [1 per cell]
Pr  0.084  0.321  0.652 [2 per cell]
Y  0.368  0.137  0.240 [2 per cell]
Y  0.383  0.420  0.880 [2 per cell]
Ho  0.268  0.769  0.549 [2 per cell]

Principal peaks in the range 10 to 90 degrees two-theta, in order of rising 2θ:
two_theta, I_rel, index
10.67, 19, 0 0 1
29.48, 39, 2 1 1
31.21, 100, 0 2 -1
31.39, 46, 1 0 3
31.54, 46, 1 1 -2
31.74, 48, 1 2 2
46.67, 17, 0 1 4
57.24, 17, 0 1 -5



No. 3
This entry pairs a crystal structure of La2PrY3Ho6 with its calculated powder X-ray diffraction pattern. Radiation: Cu Kα (weighted mean of Kα1 and Kα2). Structure: a cell relaxed with PBE.

Atomic structure:
Cell: 6.228 10.785 11.865 Å, 90.00 100.07 90.00°
Space group C2/m (No. 12)
Unique sites:
La  0.000  0.167  0.000 [4 per cell]
Pr  0.000  0.500  0.000 [2 per cell]
Y  0.000  0.000  0.500 [2 per cell]
Y  0.000  0.333  0.500 [4 per cell]
Ho  0.248  0.167  0.746 [8 per cell]
Ho  0.248  0.500  0.746 [4 per cell]

Principal peaks in the range 10 to 90 degrees two-theta, in order of rising 2θ:
two_theta, I_rel, index
30.47, 100, 1 3 1
30.61, 33, 0 0 4
35.37, 67, 2 0 2
50.79, 24, 0 6 0
50.98, 23, 1 3 5
60.44, 42, 4 0 0
60.64, 14, 1 3 -7
63.41, 12, 2 6 2



No. 4
This entry pairs a crystal structure of La2Pr6YHo3 with its calculated powder X-ray diffraction pattern. Radiation: Cu Kα (weighted mean of Kα1 and Kα2). Structure: a cell relaxed with PBE.

Atomic structure:
Cell: 6.356 11.014 12.070 Å, 90.00 100.12 90.00°
Space group C2/m (No. 12)
Unique sites:
La  0.000  0.167  0.000 [4 per cell]
Pr  0.248  0.500  0.744 [4 per cell]
Pr  0.249  0.166  0.745 [8 per cell]
Y  0.000  0.500  0.000 [2 per cell]
Ho  0.000  0.000  0.500 [2 per cell]
Ho  0.000  0.334  0.500 [4 per cell]

Principal peaks in the range 10 to 90 degrees two-theta, in order of rising 2θ:
two_theta, I_rel, index
29.84, 100, 1 3 1
30.08, 32, 0 0 4
34.66, 67, 2 0 2
49.68, 24, 0 6 0
49.99, 23, 1 3 5
59.04, 14, 4 0 0
59.18, 28, 3 3 3
59.46, 14, 2 0 6